Computed powder diffraction line list
Compound: Ti4Tl2O9
Radiation: a wavelength of 1.5418 Å
Structure: the GGA-PBE geometry in Alexandria

Main lines, by angle (5° ≤ 2θ ≤ 70°):
Position (°2θ)	d (Å)	I_rel
9.35	9.461	49
21.98	4.043	86
22.33	3.982	54
23.91	3.722	73
24.90	3.576	52
27.42	3.253	85
29.65	3.013	81
30.70	2.912	50
32.33	2.769	52
33.07	2.709	100
33.63	2.665	69
47.92	1.898	48

Atomic structure:
a = 10.106 Å, b = 10.106 Å, c = 12.206 Å
α = 107.29°, β = 107.29°, γ = 21.65°
Fractional positions:
Ti (0.131, 0.131, 0.360)
Ti (0.166, 0.166, 0.121)
Ti (0.204, 0.204, 0.896)
Ti (0.245, 0.245, 0.668)
Ti (0.755, 0.755, 0.332)
Ti (0.796, 0.796, 0.104)
Ti (0.834, 0.834, 0.879)
Ti (0.869, 0.869, 0.640)
Tl (0.413, 0.413, 0.418)
Tl (0.492, 0.492, 0.180)
Tl (0.508, 0.508, 0.820)
Tl (0.587, 0.587, 0.582)
O (0.046, 0.046, 0.373)
O (0.093, 0.093, 0.179)
O (0.130, 0.130, 0.959)
O (0.167, 0.167, 0.741)
O (0.185, 0.185, 0.527)
O (0.233, 0.233, 0.299)
O (0.268, 0.268, 0.078)
O (0.305, 0.305, 0.860)
O (0.342, 0.342, 0.645)
O (0.658, 0.658, 0.355)
O (0.695, 0.695, 0.140)
O (0.732, 0.732, 0.922)
O (0.767, 0.767, 0.701)
O (0.815, 0.815, 0.473)
O (0.833, 0.833, 0.259)
O (0.870, 0.870, 0.041)
O (0.907, 0.907, 0.821)
O (0.954, 0.954, 0.627)